[1]
Theoretical XRD peak list of BaMg11Pd for Cu Kα (weighted mean of Kα1 and Kα2), from a cell relaxed with PBE.
Lines closer than 0.1° are merged.

Lattice parameters (Å, degrees): 5.7091 14.7187 7.9055 90.00 109.03 90.00
Space group C2/m (No. 12)
Symmetry-distinct sites (fractional):
1 Ba 0.0000 0.0000 0.0000 x2
2 Mg 0.0000 0.0000 0.5000 x2
3 Mg 0.0989 0.3938 0.2328 x8
4 Mg 0.1821 0.1724 0.3631 x8
5 Mg 0.2500 0.2500 0.0000 x4
6 Pd 0.0000 0.5000 0.5000 x2

Largest 10 diffraction maxima, low angle first, 2θ from 10° to 80°:
- 12.03°, intensity 100
- 17.89°, intensity 84
- 24.05°, intensity 56
- 24.80°, intensity 48
- 26.76°, intensity 39
- 29.62°, intensity 65
- 34.20°, intensity 89
- 34.93°, intensity 97
- 35.43°, intensity 62
- 36.24°, intensity 55

---

[2]
Theoretical XRD peak list of Ba2MgSnPd6 for Cu Kα (weighted mean of Kα1 and Kα2), from a cell relaxed with PBE.
Lines closer than 0.1° are merged.

Lattice parameters (Å, degrees): 5.7850 7.0608 7.0936 83.25 65.94 65.83
Space group P-1 (No. 2)
Symmetry-distinct sites (fractional):
1 Ba 0.0444 0.2092 0.2021 x2
2 Mg 0.5000 0.5000 0.0000 x1
3 Sn 0.5000 0.0000 0.5000 x1
4 Pd 0.0037 0.7362 0.2728 x2
5 Pd 0.3451 0.4072 0.4046 x2
6 Pd 0.4877 0.7368 0.2720 x2

Largest 10 diffraction maxima, low angle first, 2θ from 10° to 80°:
- 13.70°, intensity 66
- 26.42°, intensity 62
- 27.04°, intensity 100
- 27.59°, intensity 30
- 27.75°, intensity 32
- 36.47°, intensity 98
- 37.12°, intensity 85
- 38.30°, intensity 87
- 39.16°, intensity 40
- 39.33°, intensity 41

---

[3]
Theoretical XRD peak list of Ba2Mg3Zn12Pd for Cu Kα (weighted mean of Kα1 and Kα2), from a cell relaxed with PBE.
Lines closer than 0.1° are merged.

Lattice parameters (Å, degrees): 6.4486 6.4486 32.3639 90.00 90.00 120.00
Space group R-3m (No. 166, hexagonal axes)
Symmetry-distinct sites (fractional):
1 Ba 0.0000 0.0000 0.1511 x6
2 Mg 0.0000 0.5000 0.0000 x9
3 Zn 0.0543 0.5272 0.1002 x18
4 Zn 0.0607 0.5304 0.6094 x18
5 Pd 0.0000 0.0000 0.5000 x3

Largest 10 diffraction maxima, low angle first, 2θ from 10° to 80°:
- 28.90°, intensity 100
- 31.96°, intensity 63
- 32.35°, intensity 91
- 33.96°, intensity 95
- 39.20°, intensity 54
- 42.31°, intensity 37
- 42.77°, intensity 39
- 43.22°, intensity 35
- 51.97°, intensity 53
- 57.14°, intensity 46

---

[4]
Theoretical XRD peak list of Ba3PrMg4 for Cu Kα (weighted mean of Kα1 and Kα2), from a cell relaxed with PBE.
Lines closer than 0.1° are merged.

Lattice parameters (Å, degrees): 4.1834 4.1834 17.4230 90.00 90.00 90.00
Space group P4/mmm (No. 123)
Symmetry-distinct sites (fractional):
1 Ba 0.0000 0.0000 0.0000 x1
2 Ba 0.0000 0.0000 0.2654 x2
3 Pr 0.0000 0.0000 0.5000 x1
4 Mg 0.5000 0.5000 0.1326 x2
5 Mg 0.5000 0.5000 0.4012 x2

Largest 10 diffraction maxima, low angle first, 2θ from 10° to 80°:
- 20.39°, intensity 30
- 21.24°, intensity 57
- 29.61°, intensity 100
- 30.21°, intensity 52
- 36.73°, intensity 27
- 43.25°, intensity 19
- 48.27°, intensity 13
- 48.67°, intensity 13
- 52.14°, intensity 17
- 53.29°, intensity 38

---

[5]
Theoretical XRD peak list of BaMg4Pt2 for Cu Kα (weighted mean of Kα1 and Kα2), from a cell relaxed with PBE.
Lines closer than 0.1° are merged.

Lattice parameters (Å, degrees): 8.4293 8.4293 4.4524 90.00 90.00 90.00
Space group P4_2/mnm (No. 136)
Symmetry-distinct sites (fractional):
1 Ba 0.0000 0.0000 0.0000 x2
2 Mg 0.0885 0.3374 0.5000 x8
3 Pt 0.2260 0.7740 0.5000 x4

Largest 10 diffraction maxima, low angle first, 2θ from 10° to 80°:
- 21.08°, intensity 38
- 24.96°, intensity 100
- 29.98°, intensity 63
- 31.09°, intensity 52
- 37.86°, intensity 20
- 39.40°, intensity 86
- 40.52°, intensity 25
- 42.92°, intensity 17
- 51.22°, intensity 29
- 62.94°, intensity 20

---

[6]
Theoretical XRD peak list of BaMg9Pt2 for Cu Kα (weighted mean of Kα1 and Kα2), from a cell relaxed with PBE.
Lines closer than 0.1° are merged.

Lattice parameters (Å, degrees): 11.7880 11.7880 7.8041 90.00 90.00 90.00
Space group I4_1/amd (No. 141, origin choice 2)
Symmetry-distinct sites (fractional):
1 Ba 0.0000 0.2500 0.3750 x4
2 Mg 0.0000 0.2500 0.8750 x4
3 Mg 0.1236 0.0508 0.6994 x32
4 Pt 0.0000 0.0000 0.0000 x8

Largest 10 diffraction maxima, low angle first, 2θ from 10° to 80°:
- 13.61°, intensity 32
- 20.33°, intensity 100
- 27.41°, intensity 39
- 29.62°, intensity 54
- 30.33°, intensity 34
- 33.24°, intensity 21
- 35.33°, intensity 25
- 39.95°, intensity 21
- 41.34°, intensity 54
- 51.73°, intensity 21

---

[7]
Theoretical XRD peak list of RbBa3Mg for Cu Kα (weighted mean of Kα1 and Kα2), from a cell relaxed with PBE.
Lines closer than 0.1° are merged.

Lattice parameters (Å, degrees): 7.0320 7.0320 7.0320 90.00 90.00 90.00
Space group Pm-3m (No. 221)
Symmetry-distinct sites (fractional):
1 Rb 0.0000 0.0000 0.0000 x1
2 Ba 0.0000 0.5000 0.5000 x3
3 Mg 0.5000 0.5000 0.5000 x1

Largest 10 diffraction maxima, low angle first, 2θ from 10° to 80°:
- 21.89°, intensity 100
- 25.33°, intensity 65
- 36.13°, intensity 51
- 42.64°, intensity 52
- 44.64°, intensity 19
- 52.02°, intensity 9
- 57.09°, intensity 22
- 58.72°, intensity 25
- 64.97°, intensity 18
- 69.45°, intensity 16

---

[8]
Theoretical XRD peak list of BaMg2Re for Cu Kα (weighted mean of Kα1 and Kα2), from a cell relaxed with PBE.
Lines closer than 0.1° are merged.

Lattice parameters (Å, degrees): 3.0893 3.0893 33.0957 90.00 90.00 120.00
Space group R-3m (No. 166, hexagonal axes)
Symmetry-distinct sites (fractional):
1 Ba 0.0000 0.0000 0.0000 x3
2 Mg 0.0000 0.0000 0.2345 x6
3 Re 0.0000 0.0000 0.5000 x3

Largest 10 diffraction maxima, low angle first, 2θ from 10° to 80°:
- 16.07°, intensity 100
- 32.46°, intensity 28
- 33.94°, intensity 47
- 35.26°, intensity 79
- 40.14°, intensity 52
- 43.50°, intensity 28
- 51.59°, intensity 19
- 59.88°, intensity 17
- 62.43°, intensity 17
- 69.78°, intensity 19